The following is a computed XRD peak list of Tl2In3. It was derived from a GGA-PBE-relaxed structure, using copper Kα.

Most intense lines, 15 to 90 degrees two-theta, most intense first:
| 2θ (°) | d_spacing | intensity |
| --- | --- | --- |
| 32.14 | 2.785 | 100 |
| 37.10 | 2.423 | 67 |
| 31.50 | 2.840 | 35 |
| 63.77 | 1.459 | 27 |
| 53.89 | 1.701 | 23 |
| 53.05 | 1.726 | 22 |
| 64.15 | 1.452 | 14 |
| 63.01 | 1.475 | 13 |

Structure:
Cell: 14.3367 14.3367 14.3367 Å, 13.63 13.63 13.63°
Fractional coordinates of all 5 atoms:
Tl 0.2022 0.2022 0.2022
Tl 0.7978 0.7978 0.7978
In 0.0000 0.0000 0.0000
In 0.3973 0.3973 0.3973
In 0.6027 0.6027 0.6027